[1]
# MgZn10Ag2
Theoretical X-ray diffraction stick pattern, Cu Kα, 1.54184 Å. Input: a GGA-PBE-relaxed structure.

Structure:
Unit cell a=5.503 b=12.255 c=12.761 alpha=90.00 beta=90.00 gamma=90.00
Space group Fmmm (No. 69)
One atom of each set of equivalent atoms:
1 Mg 0.000 0.000 0.000 (multiplicity 4)
2 Zn 0.000 0.107 0.387 (multiplicity 16)
3 Zn 0.000 0.174 0.177 (multiplicity 16)
4 Zn 0.250 0.000 0.250 (multiplicity 8)
5 Ag 0.250 0.250 0.000 (multiplicity 8)

Top 10 peaks for 2θ = 10–90°, in order of rising 2θ:
- 20.09 deg, I = 519, hkl 0 2 2
- 34.53 deg, I = 281, hkl 1 3 3
- 38.54 deg, I = 923, hkl 2 2 2
- 39.61 deg, I = 362, hkl 1 1 5
- 40.87 deg, I = 1000, hkl 0 4 4
- 43.43 deg, I = 613, hkl 2 0 4
- 44.24 deg, I = 577, hkl 2 4 0
- 45.13 deg, I = 314, hkl 0 2 6
- 46.70 deg, I = 294, hkl 0 6 2
- 72.82 deg, I = 266, hkl 2 6 6

[2]
# KMg
Theoretical X-ray diffraction stick pattern, Cu Kα, 1.54184 Å. Input: a GGA-PBE-relaxed structure.

Structure:
Unit cell a=5.678 b=5.678 c=10.594 alpha=90.00 beta=90.06 gamma=90.00
Space group C2 (No. 5)
One atom of each set of equivalent atoms:
1 K 0.249 0.000 0.186 (multiplicity 4)
2 Mg 0.250 0.002 0.562 (multiplicity 4)

Top 10 peaks for 2θ = 10–90°, in order of rising 2θ:
- 23.70 deg, I = 537, hkl 1 1 -1
- 25.22 deg, I = 337, hkl 0 0 3
- 27.88 deg, I = 1000, hkl 1 1 2
- 31.51 deg, I = 699, hkl 2 0 0
- 33.80 deg, I = 381, hkl 1 1 -3
- 40.78 deg, I = 365, hkl 2 0 3
- 45.17 deg, I = 236, hkl 2 2 0
- 52.43 deg, I = 149, hkl 2 2 3
- 53.92 deg, I = 303, hkl 3 1 2
- 57.59 deg, I = 147, hkl 3 1 -3